For Li3Co2Si2O8, a GGA+U-relaxed structure gives the calculated powder X-ray diffraction pattern in this record (Cu Kα X-rays).
Kinematic intensities with the Lorentz-polarization factor, no thermal factor.

Structure:
Lattice parameters (Å, degrees): 5.056 5.340 6.430 89.72 89.56 89.38
Positions (direct):
Li (0.000, 0.000, 0.000)
Li (0.011, 0.528, 0.741)
Li (0.502, 0.352, 0.494)
Co (0.505, 0.353, 0.997)
Co (0.998, 0.006, 0.484)
Si (0.004, 0.504, 0.245)
Si (0.494, 0.867, 0.747)
O (0.062, 0.800, 0.241)
O (0.110, 0.367, 0.460)
O (0.131, 0.370, 0.029)
O (0.169, 0.868, 0.742)
O (0.597, 0.022, 0.954)
O (0.599, 0.568, 0.769)
O (0.618, 0.006, 0.545)
O (0.682, 0.448, 0.233)

Principal peaks in the range 15° ≤ 2θ ≤ 90°, most intense first:
- 2θ = 22.5°, rel. 100
- 2θ = 22.3°, rel. 92
- 2θ = 21.6°, rel. 86
- 2θ = 35.5°, rel. 73
- 2θ = 21.7°, rel. 70
- 2θ = 37.3°, rel. 52
- 2θ = 33.6°, rel. 50
- 2θ = 32.6°, rel. 39
- 2θ = 32.4°, rel. 34
- 2θ = 28.0°, rel. 26

=====

For MnSiO3, a GGA+U-relaxed structure gives the calculated powder X-ray diffraction pattern in this record (Cu Kα X-rays).
Kinematic intensities with the Lorentz-polarization factor, no thermal factor.

Structure:
Lattice parameters (Å, degrees): 6.190 9.094 11.602 69.90 86.38 84.19
Positions (direct):
Mn (0.000, 0.000, 0.000)
Mn (0.080, 0.117, 0.702)
Mn (0.174, 0.221, 0.102)
Mn (0.204, 0.127, 0.398)
Mn (0.255, 0.444, 0.443)
Mn (0.500, 0.000, 0.000)
Mn (0.745, 0.556, 0.557)
Mn (0.796, 0.873, 0.602)
Mn (0.826, 0.779, 0.898)
Mn (0.920, 0.883, 0.298)
Si (0.164, 0.532, 0.654)
Si (0.217, 0.603, 0.059)
Si (0.354, 0.829, 0.820)
Si (0.390, 0.775, 0.419)
Si (0.481, 0.650, 0.179)
Si (0.519, 0.350, 0.821)
Si (0.610, 0.225, 0.581)
Si (0.646, 0.171, 0.180)
Si (0.783, 0.397, 0.941)
Si (0.836, 0.468, 0.346)
O (0.020, 0.750, 0.036)
O (0.051, 0.347, 0.362)
O (0.083, 0.380, 0.627)
O (0.138, 0.430, 0.099)
O (0.162, 0.875, 0.722)
O (0.172, 0.997, 0.129)
O (0.178, 0.896, 0.412)
O (0.304, 0.974, 0.882)
O (0.320, 0.490, 0.770)
O (0.344, 0.605, 0.535)
O (0.353, 0.654, 0.926)
O (0.379, 0.181, 0.546)
O (0.393, 0.165, 0.235)
O (0.406, 0.703, 0.304)
O (0.411, 0.215, 0.935)
O (0.589, 0.785, 0.065)
O (0.594, 0.297, 0.696)
O (0.607, 0.835, 0.765)
O (0.621, 0.819, 0.454)
O (0.647, 0.346, 0.074)
O (0.656, 0.395, 0.465)
O (0.680, 0.510, 0.230)
O (0.696, 0.026, 0.118)
O (0.822, 0.104, 0.588)
O (0.828, 0.003, 0.871)
O (0.838, 0.125, 0.278)
O (0.862, 0.570, 0.901)
O (0.917, 0.620, 0.373)
O (0.949, 0.653, 0.638)
O (0.980, 0.250, 0.964)

Principal peaks in the range 15° ≤ 2θ ≤ 90°, most intense first:
- 2θ = 28.9°, rel. 100
- 2θ = 31.8°, rel. 35
- 2θ = 41.5°, rel. 29
- 2θ = 15.2°, rel. 29
- 2θ = 28.1°, rel. 27
- 2θ = 38.9°, rel. 25
- 2θ = 16.3°, rel. 25
- 2θ = 29.9°, rel. 24
- 2θ = 33.0°, rel. 22
- 2θ = 30.2°, rel. 20

=====

For Ba3Fe2TeO9, a GGA+U-relaxed structure gives the calculated powder X-ray diffraction pattern in this record (Cu Kα X-rays).
Kinematic intensities with the Lorentz-polarization factor, no thermal factor.

Structure:
Lattice parameters (Å, degrees): 5.863 5.863 14.460 90.00 90.00 120.00
Positions (direct):
Ba (0.000, 0.000, 0.000)
Ba (0.000, 0.000, 0.500)
Ba (0.333, 0.667, 0.152)
Ba (0.333, 0.667, 0.832)
Ba (0.667, 0.333, 0.332)
Ba (0.667, 0.333, 0.652)
Fe (0.000, 0.000, 0.238)
Fe (0.000, 0.000, 0.738)
Fe (0.333, 0.667, 0.602)
Fe (0.667, 0.333, 0.102)
Te (0.333, 0.667, 0.406)
Te (0.667, 0.333, 0.906)
O (0.033, 0.517, 0.492)
O (0.166, 0.331, 0.667)
O (0.166, 0.834, 0.667)
O (0.172, 0.345, 0.331)
O (0.172, 0.828, 0.331)
O (0.331, 0.166, 0.167)
O (0.345, 0.172, 0.831)
O (0.483, 0.517, 0.492)
O (0.483, 0.967, 0.492)
O (0.517, 0.033, 0.992)
O (0.517, 0.483, 0.992)
O (0.655, 0.828, 0.331)
O (0.669, 0.834, 0.667)
O (0.828, 0.172, 0.831)
O (0.828, 0.655, 0.831)
O (0.834, 0.166, 0.167)
O (0.834, 0.669, 0.167)
O (0.967, 0.483, 0.992)

Principal peaks in the range 15° ≤ 2θ ≤ 90°, most intense first:
- 2θ = 30.5°, rel. 100
- 2θ = 30.4°, rel. 59
- 2θ = 54.1°, rel. 42
- 2θ = 43.6°, rel. 35
- 2θ = 25.5°, rel. 31
- 2θ = 40.1°, rel. 22
- 2θ = 63.5°, rel. 19
- 2θ = 88.1°, rel. 16
- 2θ = 35.7°, rel. 15
- 2θ = 47.7°, rel. 11

=====

For Ba2MgFeMoO6, a GGA+U-relaxed structure gives the calculated powder X-ray diffraction pattern in this record (Cu Kα X-rays).
Kinematic intensities with the Lorentz-polarization factor, no thermal factor.

Structure:
Lattice parameters (Å, degrees): 6.093 6.095 6.639 63.00 62.70 60.02
Positions (direct):
Ba (0.000, 0.000, 0.000)
Ba (0.416, 0.413, 0.756)
Mg (0.794, 0.791, 0.622)
Fe (0.196, 0.194, 0.416)
Mo (0.611, 0.612, 0.166)
O (0.433, 0.434, 0.152)
O (0.434, 0.984, 0.149)
O (0.435, 0.971, 0.623)
O (0.972, 0.431, 0.627)
O (0.973, 0.971, 0.623)
O (0.983, 0.434, 0.152)

Principal peaks in the range 15° ≤ 2θ ≤ 90°, most intense first:
- 2θ = 29.3°, rel. 100
- 2θ = 31.3°, rel. 58
- 2θ = 31.5°, rel. 29
- 2θ = 43.6°, rel. 23
- 2θ = 52.0°, rel. 20
- 2θ = 19.8°, rel. 19
- 2θ = 60.8°, rel. 19
- 2θ = 53.2°, rel. 15
- 2θ = 53.3°, rel. 15
- 2θ = 53.4°, rel. 14

=====

For Na3CoSiCO7, a GGA+U-relaxed structure gives the calculated powder X-ray diffraction pattern in this record (Cu Kα X-rays).
Kinematic intensities with the Lorentz-polarization factor, no thermal factor.

Structure:
Lattice parameters (Å, degrees): 5.195 6.427 9.128 90.00 91.26 90.00
Positions (direct):
Na (0.239, 0.250, 0.084)
Na (0.252, 0.504, 0.739)
Na (0.252, 0.996, 0.739)
Na (0.748, 0.004, 0.261)
Na (0.748, 0.496, 0.261)
Na (0.761, 0.750, 0.916)
Co (0.205, 0.750, 0.357)
Co (0.795, 0.250, 0.643)
Si (0.300, 0.250, 0.421)
Si (0.700, 0.750, 0.579)
C (0.270, 0.750, 0.061)
C (0.730, 0.250, 0.939)
O (0.046, 0.750, 0.123)
O (0.150, 0.250, 0.576)
O (0.226, 0.046, 0.317)
O (0.226, 0.454, 0.317)
O (0.282, 0.750, 0.919)
O (0.385, 0.750, 0.549)
O (0.478, 0.750, 0.142)
O (0.522, 0.250, 0.858)
O (0.615, 0.250, 0.451)
O (0.718, 0.250, 0.081)
O (0.774, 0.546, 0.683)
O (0.774, 0.954, 0.683)
O (0.850, 0.750, 0.424)
O (0.954, 0.250, 0.877)

Principal peaks in the range 15° ≤ 2θ ≤ 90°, most intense first:
- 2θ = 34.1°, rel. 100
- 2θ = 34.5°, rel. 81
- 2θ = 27.8°, rel. 75
- 2θ = 49.0°, rel. 54
- 2θ = 16.9°, rel. 37
- 2θ = 33.8°, rel. 35
- 2θ = 34.4°, rel. 34
- 2θ = 57.3°, rel. 31
- 2θ = 42.1°, rel. 30
- 2θ = 25.7°, rel. 28

=====

For Li4Co3Ni5O16, a GGA+U-relaxed structure gives the calculated powder X-ray diffraction pattern in this record (Cu Kα X-rays).
Kinematic intensities with the Lorentz-polarization factor, no thermal factor.

Structure:
Lattice parameters (Å, degrees): 5.644 5.644 9.386 90.02 90.02 60.07
Positions (direct):
Li (0.000, 0.000, 0.000)
Li (0.002, 0.002, 0.500)
Li (0.334, 0.334, 0.105)
Li (0.669, 0.669, 0.603)
Co (0.171, 0.665, 0.784)
Co (0.665, 0.171, 0.784)
Co (0.833, 0.833, 0.284)
Ni (0.171, 0.171, 0.783)
Ni (0.335, 0.335, 0.507)
Ni (0.339, 0.833, 0.282)
Ni (0.668, 0.668, 0.007)
Ni (0.833, 0.339, 0.282)
O (0.004, 0.004, 0.189)
O (0.004, 0.004, 0.687)
O (0.039, 0.485, 0.668)
O (0.157, 0.686, 0.391)
O (0.160, 0.160, 0.392)
O (0.316, 0.841, 0.891)
O (0.333, 0.333, 0.887)
O (0.484, 0.484, 0.671)
O (0.485, 0.039, 0.668)
O (0.520, 0.520, 0.165)
O (0.522, 0.966, 0.169)
O (0.666, 0.666, 0.385)
O (0.686, 0.157, 0.391)
O (0.841, 0.316, 0.891)
O (0.843, 0.843, 0.888)
O (0.966, 0.522, 0.169)

Principal peaks in the range 15° ≤ 2θ ≤ 90°, most intense first:
- 2θ = 20.5°, rel. 100
- 2θ = 18.9°, rel. 79
- 2θ = 37.2°, rel. 59
- 2θ = 38.0°, rel. 59
- 2θ = 47.2°, rel. 58
- 2θ = 62.4°, rel. 49
- 2θ = 34.0°, rel. 41
- 2θ = 66.2°, rel. 38
- 2θ = 26.3°, rel. 34
- 2θ = 41.7°, rel. 34

=====

For LiVOF2, a GGA+U-relaxed structure gives the calculated powder X-ray diffraction pattern in this record (Cu Kα X-rays).
Kinematic intensities with the Lorentz-polarization factor, no thermal factor.

Structure:
Lattice parameters (Å, degrees): 5.608 5.644 23.439 89.79 89.89 60.23
Positions (direct):
Li (0.000, 0.000, 0.000)
Li (0.000, 0.340, 0.750)
Li (0.004, 0.328, 0.249)
Li (0.013, 0.999, 0.499)
Li (0.330, 0.677, 0.752)
Li (0.341, 0.334, 0.000)
Li (0.344, 0.660, 0.249)
Li (0.358, 0.333, 0.498)
Li (0.666, 0.663, 0.001)
Li (0.667, 0.009, 0.751)
Li (0.679, 0.000, 0.249)
Li (0.682, 0.664, 0.498)
V (0.008, 0.651, 0.861)
V (0.011, 0.649, 0.360)
V (0.041, 0.634, 0.613)
V (0.326, 0.017, 0.639)
V (0.335, 0.989, 0.887)
V (0.343, 0.031, 0.387)
V (0.354, 0.001, 0.139)
V (0.656, 0.352, 0.625)
V (0.674, 0.315, 0.369)
V (0.676, 0.368, 0.864)
V (0.688, 0.335, 0.122)
V (0.972, 0.670, 0.113)
O (0.023, 0.294, 0.341)
O (0.046, 0.293, 0.839)
O (0.329, 0.386, 0.409)
O (0.329, 0.654, 0.660)
O (0.334, 0.703, 0.839)
O (0.376, 0.278, 0.590)
O (0.616, 0.697, 0.090)
O (0.649, 0.003, 0.340)
O (0.711, 0.645, 0.909)
O (0.712, 0.996, 0.158)
O (0.974, 0.374, 0.659)
O (0.988, 0.360, 0.159)
F (0.003, 0.667, 0.022)
F (0.015, 0.657, 0.271)
F (0.017, 0.663, 0.524)
F (0.022, 0.020, 0.586)
F (0.048, 0.004, 0.085)
F (0.318, 0.634, 0.163)
F (0.329, 0.006, 0.976)
F (0.337, 0.375, 0.914)
F (0.338, 0.010, 0.728)
F (0.345, 0.990, 0.228)
F (0.347, 0.001, 0.477)
F (0.350, 0.299, 0.085)
F (0.359, 0.700, 0.335)
F (0.628, 0.705, 0.585)
F (0.630, 0.025, 0.838)
F (0.665, 0.338, 0.763)
F (0.667, 0.336, 0.256)
F (0.675, 0.325, 0.011)
F (0.692, 0.332, 0.502)
F (0.710, 0.640, 0.414)
F (0.725, 0.980, 0.665)
F (0.962, 0.995, 0.914)
F (0.989, 0.678, 0.770)
F (0.992, 0.968, 0.415)

Principal peaks in the range 15° ≤ 2θ ≤ 90°, most intense first:
- 2θ = 15.1°, rel. 100
- 2θ = 31.7°, rel. 33
- 2θ = 44.7°, rel. 23
- 2θ = 56.7°, rel. 21
- 2θ = 30.5°, rel. 18
- 2θ = 31.9°, rel. 16
- 2θ = 44.5°, rel. 14
- 2θ = 56.3°, rel. 11
- 2θ = 32.6°, rel. 8
- 2θ = 40.1°, rel. 8

=====

For CaEuDyVO6, a GGA+U-relaxed structure gives the calculated powder X-ray diffraction pattern in this record (Cu Kα X-rays).
Kinematic intensities with the Lorentz-polarization factor, no thermal factor.

Structure:
Lattice parameters (Å, degrees): 5.783 5.783 5.783 60.00 60.00 60.00
Positions (direct):
Ca (0.000, 0.000, 0.000)
Eu (0.500, 0.500, 0.500)
Dy (0.750, 0.750, 0.750)
V (0.250, 0.250, 0.250)
O (0.017, 0.017, 0.483)
O (0.017, 0.483, 0.017)
O (0.017, 0.483, 0.483)
O (0.483, 0.017, 0.017)
O (0.483, 0.017, 0.483)
O (0.483, 0.483, 0.017)

Principal peaks in the range 15° ≤ 2θ ≤ 90°, most intense first:
- 2θ = 30.9°, rel. 100
- 2θ = 55.0°, rel. 39
- 2θ = 18.8°, rel. 33
- 2θ = 44.3°, rel. 32
- 2θ = 36.4°, rel. 23
- 2θ = 89.7°, rel. 21
- 2θ = 64.4°, rel. 19
- 2θ = 73.2°, rel. 17
- 2θ = 48.5°, rel. 12
- 2θ = 58.7°, rel. 8